(1)
Starting from the PBE geometry in Alexandria, the powder X-ray diffraction pattern of PmPrF6 was computed for Cu Kα, 1.54184 Å.

Cell and atoms:
```
data_PmPrF6
_cell_length_a 5.9374
_cell_length_b 5.9436
_cell_length_c 6.5560
_cell_angle_alpha 63.18
_cell_angle_beta 63.14
_cell_angle_gamma 60.13
_space_group_name_H-M_alt 'P -1'
_space_group_IT_number 2
loop_
_space_group_symop_operation_xyz
'x,y,z'
'-x,-y,-z'
loop_
_atom_site_label
_atom_site_type_symbol
_atom_site_fract_x
_atom_site_fract_y
_atom_site_fract_z
Pm1 Pm 0.0000 0.0000 0.0000
Pr1 Pr 0.5000 0.5000 0.5000
F1 F 0.1458 0.7521 0.7528
F2 F 0.2472 0.6511 0.2472
F3 F 0.3494 0.1456 0.7526
```

Peak list (10 most intense, 15° ≤ 2θ ≤ 90°, low angle first)
| h k l | Position (°2θ) | d_spacing | I (rel.) |
| --- | --- | --- | --- |
| 1 1 0 | 20.2 | 4.388 | 100.0 |
| 1 1 2 | 27.4 | 3.252 | 33.4 |
| 2 1 1 | 30.1 | 2.972 | 20.9 |
| 2 0 0 | 36.5 | 2.463 | 7.7 |
| 2 2 0 | 41.1 | 2.194 | 19.7 |
| 2 1 -1 | 44.5 | 2.038 | 19.7 |
| 1 2 3 | 44.5 | 2.035 | 9.8 |
| 1 0 3 | 46.8 | 1.942 | 8.0 |
| 1 3 2 | 48.0 | 1.896 | 15.0 |
| 3 1 0 | 51.9 | 1.763 | 6.7 |

---

(2)
Starting from the PBE geometry in Alexandria, the powder X-ray diffraction pattern of RbPmSF2 was computed for Cu Kα, 1.54184 Å.

Cell and atoms:
```
data_RbPmSF2
_cell_length_a 4.6699
_cell_length_b 4.6699
_cell_length_c 5.5283
_cell_angle_alpha 90.00
_cell_angle_beta 90.00
_cell_angle_gamma 90.00
_space_group_name_H-M_alt 'P 4 m m'
_space_group_IT_number 99
loop_
_space_group_symop_operation_xyz
'x,y,z'
'-y,x,z'
'-x,-y,z'
'y,-x,z'
'-x,y,z'
'y,x,z'
'x,-y,z'
'-y,-x,z'
loop_
_atom_site_label
_atom_site_type_symbol
_atom_site_fract_x
_atom_site_fract_y
_atom_site_fract_z
Rb1 Rb 0.0000 0.0000 0.0000
Pm1 Pm 0.5000 0.5000 0.4867
S1 S 0.5000 0.5000 0.9846
F1 F 0.0000 0.5000 0.4810
```

Peak list (10 most intense, 15° ≤ 2θ ≤ 90°, low angle first)
| h k l | Position (°2θ) | d_spacing | I (rel.) |
| --- | --- | --- | --- |
| 1 0 0 | 19.0 | 4.670 | 22.3 |
| 1 0 1 | 25.0 | 3.567 | 100.0 |
| 1 1 0 | 27.0 | 3.302 | 53.5 |
| 0 0 2 | 32.4 | 2.764 | 30.4 |
| 2 0 0 | 38.6 | 2.335 | 37.3 |
| 1 1 2 | 42.7 | 2.120 | 31.0 |
| 2 1 1 | 46.5 | 1.954 | 38.3 |
| 2 0 2 | 51.2 | 1.784 | 31.4 |
| 2 2 2 | 65.9 | 1.417 | 14.3 |
| 0 0 4 | 67.8 | 1.382 | 15.5 |

---

(3)
Starting from the PBE geometry in Alexandria, the powder X-ray diffraction pattern of Rb2PmZnF6 was computed for Cu Kα, 1.54184 Å.

Cell and atoms:
```
data_Rb2PmZnF6
_cell_length_a 6.5794
_cell_length_b 9.2636
_cell_length_c 6.5801
_cell_angle_alpha 90.00
_cell_angle_beta 90.00
_cell_angle_gamma 90.00
_space_group_name_H-M_alt 'P m m n'
_space_group_IT_number 59
loop_
_space_group_symop_operation_xyz
'x,y,z'
'-x,-y,-z'
'-x+1/2,-y+1/2,z'
'x+1/2,y+1/2,-z'
'x+1/2,-y,-z'
'-x+1/2,y,z'
'-x,y+1/2,-z'
'x,-y+1/2,z'
loop_
_atom_site_label
_atom_site_type_symbol
_atom_site_fract_x
_atom_site_fract_y
_atom_site_fract_z
Rb1 Rb 0.2500 0.9996 0.2461
Pm1 Pm 0.2500 0.2500 0.7542
Zn1 Zn 0.2500 0.7500 0.7570
F1 F 0.0000 0.2500 0.9926
F2 F 0.0134 0.2500 0.5075
F3 F 0.2500 0.0065 0.7750
```

Peak list (10 most intense, 15° ≤ 2θ ≤ 90°, low angle first)
| h k l | Position (°2θ) | d_spacing | I (rel.) |
| --- | --- | --- | --- |
| 0 1 1 | 16.5 | 5.364 | 11.4 |
| 2 0 0 | 27.1 | 3.285 | 100.0 |
| 2 0 2 | 38.7 | 2.326 | 26.6 |
| 0 4 0 | 38.9 | 2.316 | 13.3 |
| 1 2 3 | 47.9 | 1.898 | 28.4 |
| 2 4 0 | 48.0 | 1.894 | 13.9 |
| 4 0 0 | 55.9 | 1.645 | 8.4 |
| 2 4 2 | 56.0 | 1.641 | 16.8 |
| 3 2 3 | 63.2 | 1.471 | 12.4 |
| 1 2 5 | 76.7 | 1.242 | 14.4 |